1.
The following is a calculated PXRD pattern of Tb2Tm2Te5. It was derived from a GGA-PBE-relaxed structure, using copper Kα.
Peak positions follow from Bragg's law for the DFT cell and can differ from measured ones.

Principal peaks in the range 15° ≤ 2θ ≤ 90°, sorted by position:
d_spacing	2θ (°)	I/Imax
3.081	28.98	82.2
3.050	29.28	100.0
3.020	29.58	97.4
2.157	41.88	64.1
2.146	42.10	74.6
1.761	51.92	64.7

Crystal structure
Lattice parameters (Å, degrees): 9.724 9.724 6.100 90.00 90.00 143.81
Fractional coordinates of all 9 atoms:
Tb 0.157 0.843 0.000
Tb 0.843 0.157 0.000
Tm 0.315 0.685 0.500
Tm 0.685 0.315 0.500
Te 0.000 0.000 0.000
Te 0.153 0.847 0.500
Te 0.332 0.668 0.000
Te 0.668 0.332 0.000
Te 0.847 0.153 0.500

---

2.
The following is a calculated PXRD pattern of K3AgPb. It was derived from a GGA-PBE-relaxed structure, using copper Kα.
Peak positions follow from Bragg's law for the DFT cell and can differ from measured ones.

Principal peaks in the range 15° ≤ 2θ ≤ 90°, sorted by position:
d_spacing	2θ (°)	I/Imax
5.703	15.54	100.0
4.408	20.15	27.1
3.253	27.42	99.4
3.006	29.72	35.0
2.483	36.17	59.9
1.935	46.96	30.7

Crystal structure
Lattice parameters (Å, degrees): 12.753 12.753 5.052 90.00 90.00 90.00
Fractional coordinates of all 20 atoms:
K 0.006 0.320 0.000
K 0.118 0.882 0.500
K 0.180 0.506 0.500
K 0.320 0.006 0.000
K 0.382 0.382 0.000
K 0.494 0.820 0.500
K 0.506 0.180 0.500
K 0.618 0.618 0.000
K 0.680 0.994 0.000
K 0.820 0.494 0.500
K 0.882 0.118 0.500
K 0.994 0.680 0.000
Ag 0.080 0.080 0.000
Ag 0.420 0.580 0.500
Ag 0.580 0.420 0.500
Ag 0.920 0.920 0.000
Pb 0.177 0.177 0.500
Pb 0.323 0.677 0.000
Pb 0.677 0.323 0.000
Pb 0.823 0.823 0.500

---

3.
The following is a calculated PXRD pattern of Ba3Tl2Ga2Au4. It was derived from a GGA-PBE-relaxed structure, using copper Kα.
Peak positions follow from Bragg's law for the DFT cell and can differ from measured ones.

Principal peaks in the range 15° ≤ 2θ ≤ 90°, sorted by position:
d_spacing	2θ (°)	I/Imax
3.721	23.91	33.3
3.332	26.75	29.9
2.948	30.32	93.3
2.399	37.49	100.0
2.316	38.89	37.1
1.861	48.95	24.8

Crystal structure
Lattice parameters (Å, degrees): 4.798 4.798 16.732 90.00 90.00 120.00
Fractional coordinates of all 11 atoms:
Ba 0.000 0.000 0.000
Ba 0.000 0.000 0.267
Ba 0.000 0.000 0.733
Tl 0.333 0.667 0.563
Tl 0.667 0.333 0.437
Ga 0.333 0.667 0.136
Ga 0.667 0.333 0.864
Au 0.333 0.667 0.382
Au 0.333 0.667 0.866
Au 0.667 0.333 0.134
Au 0.667 0.333 0.618